LiFe4P4O16: computed powder diffraction line list (Cu Ka), based on a structure optimized by DFT (GGA+U).

Principal peaks in the range 2θ from 5° to 70°, sorted by position:
| Position (°2θ) | I (rel.) |
| --- | --- |
| 19.94 | 50 |
| 22.12 | 24 |
| 24.38 | 52 |
| 26.21 | 30 |
| 33.52 | 35 |
| 34.60 | 100 |
| 37.55 | 41 |
| 44.20 | 26 |
| 49.96 | 26 |
| 65.01 | 30 |

Atomic structure:
abc: 7.9993 7.9993 7.9993
angles: 140.95 74.24 119.68
Element x y z (fractional)
Li 0.0000 0.0000 0.0000
Fe 0.0553 0.6776 0.3777
Fe 0.3000 0.6776 0.6223
Fe 0.5446 0.6751 0.8695
Fe 0.8057 0.6751 0.1305
P 0.2789 0.0262 0.2527
P 0.3354 0.3354 0.0000
P 0.7736 0.0262 0.7473
P 0.8286 0.3286 0.5000
O 0.0338 0.4348 0.5991
O 0.0729 0.9233 0.1496
O 0.2108 0.4400 0.2292
O 0.2108 0.9816 0.7708
O 0.2670 0.9174 0.3496
O 0.3406 0.4400 0.9007
O 0.3934 0.3803 0.4918
O 0.3934 0.9016 0.0131
O 0.5393 0.4400 0.0993
O 0.5678 0.9174 0.6504
O 0.7186 0.4650 0.7464
O 0.7186 0.9722 0.2536
O 0.7737 0.9233 0.8504
O 0.8357 0.4348 0.4009
O 0.8885 0.3803 0.9869
O 0.8885 0.9016 0.5082